1.
This entry pairs a crystal structure of La3Tb13 with its calculated XRD peak list. Radiation: Cu Kα, 1.54184 Å. Structure: DFT lattice parameters and positions (PBE).

Structure:
Unit cell a=7.3164 b=8.5560 c=8.5560 alpha=84.56 beta=90.00 gamma=90.00
Fractional coordinates of all 16 atoms:
La1 0.0000 0.0000 0.0000
La2 0.2525 0.7469 0.7469
La3 0.7475 0.7469 0.7469
Tb1 0.0000 0.4142 0.9175
Tb2 0.0000 0.4959 0.4959
Tb3 0.0000 0.9175 0.4142
Tb4 0.2498 0.2505 0.2505
Tb5 0.2511 0.1690 0.6619
Tb6 0.2511 0.6619 0.1690
Tb7 0.5000 0.0008 0.0008
Tb8 0.5000 0.4105 0.9203
Tb9 0.5000 0.4960 0.4960
Tb10 0.5000 0.9203 0.4105
Tb11 0.7489 0.1690 0.6619
Tb12 0.7489 0.6619 0.1690
Tb13 0.7502 0.2505 0.2505

Top 10 peaks for 5 to 70 degrees two-theta, low angle first:
2θ (°)	I (rel.)
28.18	24
31.07	24
32.27	100
42.44	16
49.88	20
56.04	21
58.27	3
59.94	23
60.66	16
67.52	4



2.
This entry pairs a crystal structure of La7Tb2 with its calculated XRD peak list. Radiation: Cu Kα, 1.54184 Å. Structure: DFT lattice parameters and positions (PBE).

Structure:
Unit cell a=6.3877 b=6.3877 c=9.0530 alpha=90.00 beta=90.00 gamma=120.00
Fractional coordinates of all 9 atoms:
La1 0.0000 0.0000 0.0000
La2 0.0000 0.3334 0.6691
La3 0.0000 0.6666 0.3309
La4 0.3334 0.0000 0.6691
La5 0.3334 0.3334 0.3309
La6 0.6666 0.0000 0.3309
La7 0.6666 0.6666 0.6691
Tb1 0.3333 0.6667 0.0000
Tb2 0.6667 0.3333 0.0000

Top 7 peaks for 5 to 70 degrees two-theta, low angle first:
2θ (°)	I (rel.)
29.65	100
34.36	51
49.39	36
58.65	33
58.71	11
61.45	3
61.58	9



3.
This entry pairs a crystal structure of LaTb6 with its calculated XRD peak list. Radiation: Cu Kα, 1.54184 Å. Structure: DFT lattice parameters and positions (PBE).

Structure:
Unit cell a=7.0057 b=7.0057 c=7.0057 alpha=109.47 beta=109.47 gamma=109.47
Fractional coordinates of all 7 atoms:
La1 0.0000 0.0000 0.0000
Tb1 0.2500 0.5000 0.7500
Tb2 0.2500 0.7500 0.5000
Tb3 0.5000 0.2500 0.7500
Tb4 0.5000 0.7500 0.2500
Tb5 0.7500 0.2500 0.5000
Tb6 0.7500 0.5000 0.2500

Top 10 peaks for 5 to 70 degrees two-theta, low angle first:
2θ (°)	I (rel.)
15.49	29
21.98	42
27.00	100
38.55	42
41.78	62
44.82	37
50.45	18
53.10	15
62.93	19
65.24	24



Please write out number 3 again, unchanged.
This entry pairs a crystal structure of LaTb6 with its calculated XRD peak list. Radiation: Cu Kα, 1.54184 Å. Structure: DFT lattice parameters and positions (PBE).

Structure:
Unit cell a=7.0057 b=7.0057 c=7.0057 alpha=109.47 beta=109.47 gamma=109.47
Fractional coordinates of all 7 atoms:
La1 0.0000 0.0000 0.0000
Tb1 0.2500 0.5000 0.7500
Tb2 0.2500 0.7500 0.5000
Tb3 0.5000 0.2500 0.7500
Tb4 0.5000 0.7500 0.2500
Tb5 0.7500 0.2500 0.5000
Tb6 0.7500 0.5000 0.2500

Top 10 peaks for 5 to 70 degrees two-theta, low angle first:
2θ (°)	I (rel.)
15.49	29
21.98	42
27.00	100
38.55	42
41.78	62
44.82	37
50.45	18
53.10	15
62.93	19
65.24	24